No. 1
Computed powder diffractogram of ErTlSeO for Cu Kα, from a crystal structure in OQMD, relaxed with GGA-PBE.

The 10 most intense peaks (2θ from 10° to 80°), in order of rising 2θ:
Position (°2θ)  I (rel.)
24.69  36
28.29  17
30.46  100
32.60  28
32.82  40
33.22  62
33.43  17
44.37  18
46.91  34
55.38  15

```
16
Lattice="5.4967 0.0000 0.0000 0.0000 5.4938 0.0000 -1.4636 0.0000 12.2387" Properties=species:S:1:pos:R:3 pbc="T T T"
Er 0.0240 5.4926 1.0741
Er 1.2600 0.0000 11.1649
Er 2.7732 2.7469 1.0737
Er 4.0091 2.7458 11.1646
Tl -0.7245 3.4243 7.5171
Tl 1.9630 3.3474 4.7300
Tl 2.0702 0.6005 7.5087
Tl 4.7577 0.6774 4.7216
Se -0.7652 0.7067 9.1152
Se 2.0762 0.6756 3.1103
Se 1.9570 3.4224 9.1284
Se 4.7984 3.4536 3.1235
O 1.3733 1.4115 0.0000
O 1.3736 4.1416 0.0000
O 4.1232 1.3948 0.0000
O 4.1234 4.1583 0.0000
```

***

No. 2
Computed powder diffractogram of Cu2Ag for Cu Kα, from a crystal structure in OQMD, relaxed with GGA-PBE.

The 10 most intense peaks (2θ from 10° to 80°), in order of rising 2θ:
Position (°2θ)  I (rel.)
32.84  4
35.33  6
37.89  8
41.09  100
46.60  40
50.17  9
66.23  4
68.03  12
69.25  4
70.88  11

```
9
Lattice="-1.3781 1.3781 16.3656 1.3781 -1.3781 16.3656 1.3781 1.3781 -16.3656" Properties=species:S:1:pos:R:3 pbc="T T T"
Cu 0.0000 0.0000 0.0000
Cu 0.0000 0.0000 3.1840
Cu 0.0000 0.0000 10.8776
Cu 0.0000 0.0000 14.7653
Cu 0.0000 0.0000 17.9557
Cu 0.0000 0.0000 25.6538
Ag 0.0000 0.0000 7.3616
Ag 0.0000 0.0000 21.4845
Ag 0.0000 0.0000 29.1808
```